The following is a calculated XRD peak list of NaYTiP2SO12. It was derived from a structure optimized by DFT (GGA-PBE), using Cu Kα (λ = 1.5418 Å).

Largest 12 diffraction maxima, sorted by position, 2θ from 10° to 80°:
2theta	d (Å)	I (rel.)
13.90	6.370	24
19.14	4.637	43
19.42	4.571	22
19.85	4.472	48
19.99	4.441	26
22.81	3.898	48
23.18	3.837	100
28.01	3.185	29
30.39	2.941	34
30.80	2.903	45
31.02	2.883	37
34.91	2.570	27

Atomic structure:
```
data_NaYTiP2SO12
_chemical_formula_sum 'Na2 Y2 Ti2 P4 S2 O24'
_symmetry_space_group_name_H-M 'P 1'
_symmetry_Int_Tables_number 1
_cell_length_a 8.9467
_cell_length_b 8.9467
_cell_length_c 9.1544
_cell_angle_alpha 118.28
_cell_angle_beta 118.28
_cell_angle_gamma 59.52
loop_
_symmetry_equiv_pos_as_xyz
'x,y,z'
loop_
_atom_site_label
_atom_site_type_symbol
_atom_site_fract_x
_atom_site_fract_y
_atom_site_fract_z
Na1 Na 0.2385 0.7615 0.5000
Na2 Na 0.7615 0.2385 0.0000
Y1 Y 0.0904 0.6023 0.0564
Y2 Y 0.6023 0.0904 0.5564
Ti1 Ti 0.3885 0.8826 0.9346
Ti2 Ti 0.8826 0.3885 0.4346
P1 P 0.0107 0.1932 0.7435
P2 P 0.1932 0.0107 0.2435
P3 P 0.6884 0.7743 0.7398
P4 P 0.7743 0.6884 0.2398
S1 S 0.2747 0.5090 0.7373
S2 S 0.5090 0.2747 0.2373
O1 O 0.0180 0.1873 0.2603
O2 O 0.0416 0.3516 0.9029
O3 O 0.1178 0.4752 0.5818
O4 O 0.1618 0.8490 0.2243
O5 O 0.1873 0.0180 0.7603
O6 O 0.2392 0.9714 0.0756
O7 O 0.2568 0.5349 0.8989
O8 O 0.2852 0.6788 0.7513
O9 O 0.3516 0.0416 0.4029
O10 O 0.3583 0.4496 0.2219
O11 O 0.4496 0.3583 0.7219
O12 O 0.4752 0.1178 0.0818
O13 O 0.5194 0.7840 0.7592
O14 O 0.5349 0.2568 0.3989
O15 O 0.6019 0.7402 0.0770
O16 O 0.6462 0.9529 0.7207
O17 O 0.6788 0.2852 0.2513
O18 O 0.7402 0.6019 0.5770
O19 O 0.7524 0.8508 0.4012
O20 O 0.7840 0.5194 0.2592
O21 O 0.8490 0.1618 0.7243
O22 O 0.8508 0.7524 0.9012
O23 O 0.9529 0.6462 0.2207
O24 O 0.9714 0.2392 0.5756
```